1.
# PmZnP2O8
Computed powder diffraction line list, CuKα. Input: DFT lattice parameters and positions (GGA-PBE).
No peak broadening, texture or thermal motion is included.

Structural model:
```
12
Lattice="5.1683 0.0000 0.0000 -2.5842 4.4759 0.0000 0.0000 0.0000 6.8325" Properties=species:S:1:pos:R:3 pbc="T T T"
Pm 0.0000 0.0000 0.0000
Zn 0.0000 0.0000 3.4163
P 0.0000 2.9839 5.3110
P 2.5842 1.4920 1.5215
O 0.0000 1.5119 4.8488
O -1.2748 3.7199 4.8488
O 0.0000 2.9839 0.0301
O 1.3094 0.7560 1.9837
O 1.2748 3.7199 4.8488
O 2.5842 1.4920 6.8024
O 3.8590 0.7560 1.9837
O 2.5842 2.9640 1.9837
```

Principal peaks in the range 2θ from 10° to 90°, by intensity:
- 19.84 deg, I = 100, hkl 1 0 0
- 32.98 deg, I = 79, hkl 1 0 2
- 34.71 deg, I = 57, hkl 1 1 0
- 48.64 deg, I = 42, hkl 0 2 2
- 23.76 deg, I = 37, hkl 1 0 1
- 43.93 deg, I = 36, hkl 1 1 2
- 61.13 deg, I = 26, hkl 2 1 2
- 12.96 deg, I = 24, hkl 0 0 1
- 37.20 deg, I = 19, hkl 1 1 1
- 65.50 deg, I = 17, hkl 1 1 4

2.
# Pr2PO
Computed powder diffraction line list, CuKα. Input: DFT lattice parameters and positions (GGA-PBE).
No peak broadening, texture or thermal motion is included.

Structural model:
```
16
Lattice="5.7189 0.0000 0.0000 0.0000 5.7054 0.0000 -5.5110 0.0000 10.9038" Properties=species:S:1:pos:R:3 pbc="T T T"
Pr 0.0032 1.2997 1.2277
Pr -2.7523 4.4057 6.6796
Pr -2.8353 1.3776 9.4103
Pr -0.0798 4.3279 3.9584
Pr 0.2877 1.3776 6.9453
Pr 3.0432 4.3279 1.4934
Pr 2.9602 1.2997 4.2242
Pr 0.2047 4.4057 9.6761
P 0.0916 1.4656 4.0866
P -2.6639 4.2398 9.5385
P 2.8718 1.4656 1.3653
P 0.1163 4.2398 6.8172
O -2.9653 1.1937 6.8071
O -0.2098 4.5118 1.3552
O 0.4177 1.1937 9.5486
O 3.1732 4.5118 4.0967
```

Principal peaks in the range 2θ from 10° to 90°, by intensity:
- 31.32 deg, I = 100, hkl 0 2 0
- 27.66 deg, I = 72, hkl 1 1 -3
- 27.30 deg, I = 69, hkl 1 1 1
- 32.86 deg, I = 43, hkl 0 0 4
- 44.89 deg, I = 34, hkl 2 2 -2
- 46.05 deg, I = 31, hkl 0 2 4
- 57.13 deg, I = 17, hkl 2 2 -6
- 46.46 deg, I = 17, hkl 2 0 -6
- 45.54 deg, I = 14, hkl 2 0 2
- 56.33 deg, I = 14, hkl 2 2 2